TlNiRu2O8: calculated PXRD pattern (λ = 1.5418 Å (Cu Kα)), based on DFT lattice parameters and positions (PBE+U).
No peak broadening, texture or thermal motion is included.

Cell and atoms:
```
data_TlNiRu2O8
_chemical_formula_sum 'Tl2 Ni2 Ru4 O16'
_symmetry_space_group_name_H-M 'C 1 2/m 1'
_symmetry_Int_Tables_number 12
_symmetry_space_group_name_Hall '-C 2y'
_cell_length_a 8.913
_cell_length_b 5.808
_cell_length_c 7.894
_cell_angle_alpha 90.00
_cell_angle_beta 93.81
_cell_angle_gamma 90.00
loop_
_atom_site_label
_atom_site_type_symbol
_atom_site_fract_x
_atom_site_fract_y
_atom_site_fract_z
Tl1 Tl 0.000 0.000 0.000
Ni1 Ni 0.000 0.000 0.500
Ru1 Ru 0.127 0.500 0.294
O1 O 0.016 0.244 0.312
O2 O 0.191 0.500 0.088
O3 O 0.227 0.000 0.544
```

Main lines, by angle (15 to 90 degrees two-theta):
2θ (°)  d/Å  Rel. int.  (hkl)
19.97  4.447  42  2 0 0
21.83  4.072  100  1 1 1
22.30  3.987  52  2 0 -1
28.65  3.116  98  1 1 -2
29.71  3.007  45  1 1 2
30.79  2.904  45  0 2 0
33.95  2.640  58  3 1 0
38.35  2.347  31  2 2 -1
44.50  2.036  18  2 2 2
53.44  1.715  18  1 3 -2